The following is a computed powder XRD pattern of Lu3Ga9Pd2. It was derived from a DFT-relaxed cell (GGA-PBE, Alexandria), using Cu Kα (λ = 1.5418 Å).
Kinematic intensities with the Lorentz-polarization factor, no thermal factor.

Cell and atoms:
```
data_Lu3Ga9Pd2
_space_group_name_H-M_alt 'I m m m'
_space_group_IT_number 71
_space_group_name_Hall '-I 2 2'
_cell_length_a 4.2695
_cell_length_b 9.4662
_cell_length_c 12.3919
_cell_angle_alpha 90.00
_cell_angle_beta 90.00
_cell_angle_gamma 90.00
loop_
_atom_site_label
_atom_site_fract_x
_atom_site_fract_y
_atom_site_fract_z
Lu1 0.0000 0.0000 0.0000
Lu2 0.0000 0.0000 0.3007
Ga1 0.0000 0.2829 0.1389
Ga2 0.0000 0.3680 0.3451
Ga3 0.0000 0.5000 0.0000
Pd1 0.0000 0.1816 0.5000
```

Most intense lines, 2θ = 10–80°, in order of rising 2θ:
hkl 1 3 0, 35.37°, 2.538 Å, intensity 27; hkl 1 2 3, 35.70°, 2.515 Å, intensity 100; hkl 0 3 3, 35.81°, 2.507 Å, intensity 29; hkl 1 1 4, 37.09°, 2.424 Å, intensity 28; hkl 1 3 2, 38.33°, 2.348 Å, intensity 27; hkl 2 0 0, 42.34°, 2.135 Å, intensity 39; hkl 0 0 6, 43.83°, 2.065 Å, intensity 18; hkl 1 4 7, 69.93°, 1.345 Å, intensity 20